Record 1
This entry pairs a crystal structure of Tm2PIBr with its theoretical powder diffraction line list. Radiation: a wavelength of 1.5418 Å. Structure: a crystal structure in OQMD, relaxed with GGA-PBE.
Lines closer than 0.1° are merged.

Crystal structure
```
Tm2PIBr
1.0
3.9994 0.0000 0.0000
-1.9997 3.4636 0.0000
0.0000 0.0000 10.8449
Tm P I Br
2 1 1 1
Direct
0.0000 0.0000 0.0000 Tm
0.3333 0.6667 0.7299 Tm
0.6667 0.3333 0.8653 P
0.0000 0.0000 0.5414 I
0.3333 0.6667 0.1649 Br
```

Most intense lines, 2θ from 10° to 90°, in order of falling intensity:
- 2θ 30.63, 2.919 Å, intensity 100
- 2θ 45.35, 2.000 Å, intensity 29
- 2θ 25.72, 3.464 Å, intensity 24
- 2θ 42.34, 2.135 Å, intensity 22
- 2θ 35.91, 2.501 Å, intensity 20
- 2θ 55.72, 1.650 Å, intensity 18


Record 2
This entry pairs a crystal structure of DyPdAu with its theoretical powder diffraction line list. Radiation: a wavelength of 1.5418 Å. Structure: a crystal structure in OQMD, relaxed with GGA-PBE.
Lines closer than 0.1° are merged.

Crystal structure
```
DyPdAu
1.0
0.0000 3.2588 3.2588
3.2588 0.0000 3.2588
3.2588 3.2588 0.0000
Dy Pd Au
1 1 1
Direct
0.0000 0.0000 0.0000 Dy
0.7500 0.7500 0.7500 Pd
0.5000 0.5000 0.5000 Au
```

Most intense lines, 2θ from 10° to 90°, in order of falling intensity:
- 2θ 39.09, 2.304 Å, intensity 100
- 2θ 27.37, 3.259 Å, intensity 36
- 2θ 70.83, 1.330 Å, intensity 35
- 2θ 56.47, 1.629 Å, intensity 17
- 2θ 23.64, 3.763 Å, intensity 15
- 2θ 63.87, 1.457 Å, intensity 14


Record 3
This entry pairs a crystal structure of NaScHgSe3 with its theoretical powder diffraction line list. Radiation: a wavelength of 1.5418 Å. Structure: a crystal structure in OQMD, relaxed with GGA-PBE.
Lines closer than 0.1° are merged.

Crystal structure
```
NaScHgSe3
1.0
2.0030 -6.9165 0.0000
2.0030 6.9165 0.0000
0.0000 0.0000 10.8159
Na Sc Hg Se
2 2 2 6
Direct
0.2468 0.7532 0.7500 Na
0.7532 0.2468 0.2500 Na
0.0000 0.0000 0.0000 Sc
0.0000 0.0000 0.5000 Sc
0.4526 0.5474 0.2500 Hg
0.5474 0.4526 0.7500 Hg
0.0846 0.9154 0.2500 Se
0.3654 0.6346 0.0379 Se
0.3654 0.6346 0.4621 Se
0.6346 0.3654 0.5379 Se
0.6346 0.3654 0.9621 Se
0.9154 0.0846 0.7500 Se
```

Most intense lines, 2θ from 10° to 90°, in order of falling intensity:
- 2θ 30.70, 2.913 Å, intensity 100
- 2θ 12.80, 6.916 Å, intensity 91
- 2θ 33.96, 2.639 Å, intensity 71
- 2θ 33.13, 2.704 Å, intensity 44
- 2θ 47.22, 1.925 Å, intensity 39
- 2θ 23.11, 3.848 Å, intensity 36


Record 4
This entry pairs a crystal structure of La2PrZn2Si4Pt2 with its theoretical powder diffraction line list. Radiation: a wavelength of 1.5418 Å. Structure: a crystal structure in OQMD, relaxed with GGA-PBE.
Lines closer than 0.1° are merged.

Crystal structure
```
La2PrZn2Si4Pt2
1.0
-2.1104 2.1255 12.5645
2.1104 -2.1255 12.5645
2.1104 2.1255 -12.5645
La Pr Zn Si Pt
2 1 2 4 2
Direct
0.1463 0.1463 0.0000 La
0.8537 0.8537 0.0000 La
0.5000 0.0000 0.5000 Pr
0.2501 0.7501 0.5000 Zn
0.7499 0.2499 0.5000 Zn
0.0480 0.5480 0.5000 Si
0.3087 0.3087 0.0000 Si
0.6913 0.6913 0.0000 Si
0.9520 0.4520 0.5000 Si
0.4052 0.4052 0.0000 Pt
0.5948 0.5948 0.0000 Pt
```

Most intense lines, 2θ from 10° to 90°, in order of falling intensity:
- 2θ 33.13, 2.704 Å, intensity 100
- 2θ 32.75, 2.735 Å, intensity 35
- 2θ 45.05, 2.012 Å, intensity 23
- 2θ 27.60, 3.232 Å, intensity 22
- 2θ 42.53, 2.126 Å, intensity 21
- 2θ 42.85, 2.110 Å, intensity 21